Record 1
# Co3OF5
Computed powder diffraction line list, CuKα. Input: DFT lattice parameters and positions (GGA+U).
Neutral-atom scattering factors, no anomalous dispersion.

Cell and atoms:
a b c (Å): 4.693 5.699 7.841
angles (deg): 91.47 90.33 90.37
Space group P1 (No. 1)
One atom of each set of equivalent atoms:
Co 0.000 0.000 0.000 x1
Co 0.000 0.302 0.363 x1
Co 0.448 0.147 0.679 x1
Co 0.473 0.836 0.351 x1
Co 0.491 0.491 0.020 x1
Co 0.997 0.671 0.682 x1
O 0.188 0.961 0.775 x1
O 0.276 0.117 0.461 x1
F 0.177 0.611 0.447 x1
F 0.178 0.294 0.122 x1
F 0.281 0.457 0.789 x1
F 0.289 0.790 0.120 x1
F 0.663 0.186 0.906 x1
F 0.680 0.852 0.578 x1
F 0.688 0.519 0.258 x1
F 0.765 0.347 0.587 x1
F 0.787 0.029 0.243 x1
F 0.794 0.693 0.917 x1

Largest 12 diffraction maxima, low angle first, 15° ≤ 2θ ≤ 90°:
| 2θ/deg | I (rel.) |
| --- | --- |
| 26.95 | 100 |
| 33.79 | 32 |
| 34.11 | 14 |
| 34.32 | 14 |
| 51.78 | 9 |
| 52.07 | 8 |
| 52.24 | 16 |
| 52.63 | 15 |
| 55.50 | 9 |
| 55.61 | 9 |
| 57.79 | 11 |
| 66.37 | 11 |

Record 2
# CoOF
Computed powder diffraction line list, CuKα. Input: DFT lattice parameters and positions (GGA+U).
Neutral-atom scattering factors, no anomalous dispersion.

Cell and atoms:
a b c (Å): 4.740 2.891 18.702
angles (deg): 90.00 95.44 90.00
Space group P2/m (No. 10)
One atom of each set of equivalent atoms:
Co 0.000 0.000 0.000 x1
Co 0.000 0.000 0.500 x1
Co 0.047 0.000 0.245 x2
Co 0.411 0.500 0.877 x2
Co 0.478 0.500 0.626 x2
O 0.130 0.500 0.802 x2
O 0.182 0.500 0.548 x2
O 0.228 0.500 0.295 x2
O 0.259 0.000 0.922 x2
F 0.248 0.500 0.052 x2
F 0.279 0.000 0.674 x2
F 0.324 0.000 0.423 x2
F 0.400 0.000 0.170 x2

Largest 12 diffraction maxima, low angle first, 15° ≤ 2θ ≤ 90°:
| 2θ/deg | I (rel.) |
| --- | --- |
| 25.58 | 100 |
| 28.18 | 83 |
| 36.45 | 44 |
| 36.59 | 48 |
| 38.68 | 12 |
| 42.33 | 13 |
| 52.42 | 21 |
| 52.74 | 28 |
| 55.33 | 17 |
| 55.64 | 24 |
| 64.45 | 14 |
| 68.65 | 20 |

Record 3
# CoOF
Computed powder diffraction line list, CuKα. Input: DFT lattice parameters and positions (GGA+U).
Neutral-atom scattering factors, no anomalous dispersion.

Cell and atoms:
a b c (Å): 4.595 2.958 13.594
angles (deg): 90.00 92.27 90.00
Space group P2/m (No. 10)
One atom of each set of equivalent atoms:
Co 0.000 0.000 0.000 x1
Co 0.053 0.000 0.330 x2
Co 0.403 0.500 0.833 x2
Co 0.500 0.500 0.500 x1
O 0.155 0.500 0.933 x2
O 0.234 0.000 0.769 x2
O 0.328 0.000 0.433 x2
F 0.156 0.500 0.602 x2
F 0.278 0.500 0.265 x2
F 0.376 0.000 0.104 x2

Largest 12 diffraction maxima, low angle first, 15° ≤ 2θ ≤ 90°:
| 2θ/deg | I (rel.) |
| --- | --- |
| 27.11 | 98 |
| 28.22 | 100 |
| 36.12 | 51 |
| 36.28 | 63 |
| 41.03 | 21 |
| 53.87 | 17 |
| 54.21 | 30 |
| 55.14 | 18 |
| 55.47 | 29 |
| 62.84 | 20 |
| 69.74 | 20 |
| 69.98 | 23 |

Record 4
# Co3OF5
Computed powder diffraction line list, CuKα. Input: DFT lattice parameters and positions (GGA+U).
Neutral-atom scattering factors, no anomalous dispersion.

Cell and atoms:
a b c (Å): 5.673 5.709 7.521
angles (deg): 71.89 71.56 70.38
Space group P-1 (No. 2)
One atom of each set of equivalent atoms:
Co 0.000 0.000 0.000 x1
Co 0.000 0.000 0.500 x1
Co 0.330 0.323 0.173 x2
Co 0.367 0.303 0.667 x2
O 0.346 0.968 0.342 x2
F 0.055 0.621 0.665 x2
F 0.110 0.106 0.704 x2
F 0.236 0.234 0.963 x2
F 0.306 0.692 0.002 x2
F 0.431 0.435 0.369 x2

Largest 12 diffraction maxima, low angle first, 15° ≤ 2θ ≤ 90°:
| 2θ/deg | I (rel.) |
| --- | --- |
| 26.08 | 100 |
| 27.19 | 88 |
| 34.08 | 55 |
| 34.29 | 53 |
| 51.35 | 35 |
| 51.50 | 33 |
| 52.46 | 26 |
| 52.91 | 25 |
| 53.66 | 19 |
| 58.58 | 19 |
| 66.02 | 16 |
| 66.46 | 20 |